Entry 1:
Computed powder diffraction line list of Sr2IrSe2 for CuKα, from a crystal structure in Alexandria, relaxed with GGA-PBE.

Crystal structure
Cell lengths 3.900, 3.900, 17.402 Å; angles 90.00, 90.00, 90.00 degrees
Space group I4/mmm (No. 139)
Unique sites:
Sr  0.000  0.000  0.100
Ir  0.000  0.000  0.500
Se  0.000  0.500  0.250

Top 8 peaks for 2θ = 5–70°, low angle first:
2θ (°), I/Imax
20.41, 23.8
27.56, 62.3
34.10, 100.0
34.54, 79.2
46.57, 35.1
59.25, 33.4
63.18, 28.1
64.15, 19.7

***

Entry 2:
Computed powder diffraction line list of Tb4IrSe5 for CuKα, from a crystal structure in Alexandria, relaxed with GGA-PBE.

Crystal structure
Cell lengths 17.942, 4.092, 8.179 Å; angles 90.00, 107.11, 90.00 degrees
Space group C2/m (No. 12)
Unique sites:
Tb  0.004  0.000  0.253
Tb  0.172  0.500  0.106
Ir  0.000  0.500  0.000
Se  0.000  0.500  0.500
Se  0.164  0.000  0.851
Se  0.169  0.000  0.341

Top 8 peaks for 2θ = 5–70°, low angle first:
2θ (°), I/Imax
10.32, 26.5
11.32, 44.9
30.95, 100.0
31.30, 48.6
43.43, 39.3
44.26, 19.0
45.73, 35.0
55.21, 19.4

***

Entry 3:
Computed powder diffraction line list of Tb4IrSe3 for CuKα, from a crystal structure in Alexandria, relaxed with GGA-PBE.

Crystal structure
Cell lengths 8.411, 11.718, 4.046 Å; angles 90.00, 90.00, 90.00 degrees
Space group Cmmm (No. 65)
Unique sites:
Tb  0.000  0.239  0.000
Tb  0.227  0.000  0.500
Ir  0.000  0.000  0.000
Se  0.000  0.500  0.000
Se  0.250  0.250  0.500

Top 8 peaks for 2θ = 5–70°, low angle first:
2θ (°), I/Imax
12.96, 20.6
30.51, 50.6
30.66, 100.0
43.01, 18.4
43.80, 73.5
44.80, 18.1
53.65, 18.8
55.17, 21.1

***

Entry 4:
Computed powder diffraction line list of Tb4Ir2Se for CuKα, from a crystal structure in Alexandria, relaxed with GGA-PBE.

Crystal structure
Cell lengths 8.772, 8.772, 8.777 Å; angles 90.00, 90.00, 90.00 degrees
Space group I-42d (No. 122)
Unique sites:
Tb  0.066  0.683  0.425
Ir  0.114  0.750  0.125
Se  0.000  0.000  0.500

Top 8 peaks for 2θ = 5–70°, low angle first:
2θ (°), I/Imax
14.27, 11.6
32.26, 100.0
38.39, 53.7
46.28, 12.4
48.68, 13.3
50.99, 11.2
53.23, 28.4
65.59, 23.5

***

Entry 5:
Computed powder diffraction line list of TcIr2Se for CuKα, from a crystal structure in Alexandria, relaxed with GGA-PBE.

Crystal structure
Cell lengths 2.826, 4.200, 5.282 Å; angles 90.00, 104.72, 90.00 degrees
Space group P2/m (No. 10)
Unique sites:
Tc  0.000  0.000  0.000
Ir  0.372  0.500  0.749
Se  0.000  0.000  0.500

Top 8 peaks for 2θ = 5–70°, low angle first:
2θ (°), I/Imax
21.15, 33.4
33.01, 18.3
39.33, 72.5
39.54, 30.9
41.37, 100.0
41.82, 31.0
43.08, 44.6
61.60, 19.8

***

Entry 6:
Computed powder diffraction line list of TcIrSe for CuKα, from a crystal structure in Alexandria, relaxed with GGA-PBE.

Crystal structure
Cell lengths 12.577, 2.942, 5.095 Å; angles 90.00, 90.00, 90.00 degrees
Space group Amm2 (No. 38)
Unique sites:
Tc  0.000  0.000  0.000
Tc  0.500  0.000  0.002
Ir  0.339  0.000  0.668
Se  0.149  0.000  0.333

Top 8 peaks for 2θ = 5–70°, low angle first:
2θ (°), I/Imax
7.03, 48.5
21.19, 20.7
35.97, 46.0
38.11, 59.8
41.48, 100.0
43.16, 32.5
45.84, 53.0
63.22, 35.3

***

Entry 7:
Computed powder diffraction line list of Te2IrSe for CuKα, from a crystal structure in Alexandria, relaxed with GGA-PBE.

Crystal structure
Cell lengths 3.851, 5.475, 8.897 Å; angles 90.00, 90.00, 90.00 degrees
Space group Amm2 (No. 38)
Unique sites:
Te  0.000  0.000  0.000
Te  0.500  0.000  0.299
Ir  0.000  0.000  0.502
Se  0.500  0.000  0.691

Top 8 peaks for 2θ = 5–70°, low angle first:
2θ (°), I/Imax
19.03, 26.8
19.96, 14.8
30.71, 100.0
32.71, 50.4
41.84, 21.8
45.48, 67.7
47.20, 27.8
58.61, 29.2

***

Entry 8:
Computed powder diffraction line list of TeIrSe for CuKα, from a crystal structure in Alexandria, relaxed with GGA-PBE.

Crystal structure
Cell lengths 3.8539, 3.8539, 5.3242 Å; angles 90.00, 90.00, 120.00 degrees
Space group P3m1 (No. 156)
Unique sites:
Te  0.0000  0.0000  0.0000
Ir  0.3333  0.6667  0.2701
Se  0.6667  0.3333  0.5028

Top 8 peaks for 2θ = 5–70°, low angle first:
2θ (°), I/Imax
16.65, 39.7
31.64, 100.0
43.48, 51.8
47.17, 37.1
50.36, 14.1
57.91, 17.9
58.94, 15.7
66.08, 15.0